Entry 1:
Computed powder XRD pattern
Compound: Nb4V2Si5
Radiation: Cu Ka
Structure: a crystal structure in the Materials Project, relaxed with GGA-PBE
Peak positions follow from Bragg's law for the DFT cell and can differ from measured ones.

The 6 most intense peaks (15 to 90 degrees two-theta), by angle:
d = 2.953 Å, 30.26 deg, rel. 58.4
d = 2.510 Å, 35.78 deg, rel. 38.9
d = 2.304 Å, 39.09 deg, rel. 60.1
d = 2.257 Å, 39.94 deg, rel. 98.6
d = 2.244 Å, 40.19 deg, rel. 100.0
d = 2.193 Å, 41.16 deg, rel. 57.5

Structure:
Cell lengths 9.475, 9.475, 9.475 Å; angles 130.72, 59.20, 149.28 degrees
Element x y z (fractional)
Nb: 0.064 0.745 0.809
Nb: 0.144 0.115 0.259
Nb: 0.356 0.615 0.972
Nb: 0.436 0.245 0.681
Nb: 0.564 0.755 0.319
Nb: 0.644 0.385 0.028
Nb: 0.856 0.885 0.741
Nb: 0.936 0.255 0.191
V: 0.059 0.750 0.309
V: 0.441 0.750 0.691
V: 0.559 0.250 0.309
V: 0.941 0.250 0.691
Si: 0.068 0.417 0.484
Si: 0.217 0.795 0.013
Si: 0.250 0.250 0.000
Si: 0.283 0.295 0.578
Si: 0.432 0.917 0.349
Si: 0.568 0.083 0.651
Si: 0.717 0.705 0.422
Si: 0.750 0.750 0.000
Si: 0.783 0.205 0.987
Si: 0.932 0.583 0.516

---

Entry 2:
Computed powder XRD pattern
Compound: Co3W9C4
Radiation: Cu Ka
Structure: a crystal structure in the Materials Project, relaxed with GGA-PBE
Peak positions follow from Bragg's law for the DFT cell and can differ from measured ones.

The 6 most intense peaks (15 to 90 degrees two-theta), by angle:
d = 3.341 Å, 26.68 deg, rel. 36.5
d = 2.392 Å, 37.60 deg, rel. 50.8
d = 2.273 Å, 39.65 deg, rel. 44.3
d = 2.179 Å, 41.43 deg, rel. 100.0
d = 2.139 Å, 42.26 deg, rel. 80.8
d = 2.044 Å, 44.31 deg, rel. 73.8

Structure:
Cell lengths 7.874, 7.874, 7.664 Å; angles 90.00, 90.00, 120.00 degrees
Element x y z (fractional)
Co: 0.109 0.554 0.250
Co: 0.446 0.554 0.250
Co: 0.446 0.891 0.250
Co: 0.554 0.109 0.750
Co: 0.554 0.446 0.750
Co: 0.891 0.446 0.750
W: 0.109 0.217 0.250
W: 0.109 0.891 0.250
W: 0.207 0.415 0.567
W: 0.207 0.415 0.933
W: 0.207 0.793 0.567
W: 0.207 0.793 0.933
W: 0.217 0.109 0.750
W: 0.415 0.207 0.067
W: 0.415 0.207 0.433
W: 0.585 0.793 0.567
W: 0.585 0.793 0.933
W: 0.783 0.891 0.250
W: 0.793 0.207 0.067
W: 0.793 0.207 0.433
W: 0.793 0.585 0.067
W: 0.793 0.585 0.433
W: 0.891 0.109 0.750
W: 0.891 0.783 0.750
C: 0.000 0.500 0.000
C: 0.000 0.500 0.500
C: 0.333 0.667 0.750
C: 0.500 0.000 0.000
C: 0.500 0.000 0.500
C: 0.500 0.500 0.000
C: 0.500 0.500 0.500
C: 0.667 0.333 0.250